# Ba2ScCuO4
Computed PXRD pattern, Cu Kα X-rays. Input: a cell relaxed with GGA-PBE.
Neutral-atom scattering factors, no anomalous dispersion.

Most intense lines, 2θ from 5° to 70°, by angle:
2θ/deg, d_spacing, I_rel
21.27, 4.177, 13
30.26, 2.954, 65
30.79, 2.904, 100
37.73, 2.384, 21
43.32, 2.088, 32
44.88, 2.020, 13
54.09, 1.695, 40
55.09, 1.667, 19
62.94, 1.477, 10
64.14, 1.452, 16

Atomic structure:
Unit cell a=4.1770 b=4.1770 c=8.0789 alpha=90.00 beta=90.00 gamma=90.00
Atoms (fractional coordinates):
Ba 0.0000 0.0000 0.2320
Ba 0.0000 0.0000 0.7680
Sc 0.5000 0.5000 0.0000
Cu 0.5000 0.5000 0.5000
O 0.0000 0.5000 0.0000
O 0.5000 0.0000 0.0000
O 0.5000 0.5000 0.2753
O 0.5000 0.5000 0.7247